No. 1
Theoretical X-ray diffraction stick pattern
Compound: BaSc2
Radiation: copper Kα
Structure: a structure optimized by DFT (PBE)
Peak positions follow from Bragg's law for the DFT cell and can differ from measured ones.

Most intense lines, 2θ from 10° to 90°, by angle:
20.59°, rel. 37; 21.14°, rel. 31; 26.39°, rel. 59; 27.66°, rel. 32; 29.36°, rel. 69; 29.89°, rel. 32; 30.03°, rel. 40; 31.34°, rel. 83; 32.82°, rel. 100; 42.81°, rel. 31

Structural model:
```
BaSc2
1.0
6.453 -1.844 0.000
6.453 1.844 0.000
-3.002 0.000 8.501
Ba Sc
2 4
direct
0.159 0.159 0.126 Ba
0.841 0.841 0.874 Ba
0.145 0.145 0.516 Sc
0.463 0.463 0.293 Sc
0.537 0.537 0.707 Sc
0.855 0.855 0.484 Sc
```


No. 2
Theoretical X-ray diffraction stick pattern
Compound: PRu2
Radiation: copper Kα
Structure: a structure optimized by DFT (PBE)
Peak positions follow from Bragg's law for the DFT cell and can differ from measured ones.

Most intense lines, 2θ from 10° to 90°, by angle:
30.32°, rel. 18; 37.74°, rel. 100; 38.31°, rel. 30; 40.49°, rel. 43; 41.53°, rel. 18; 45.21°, rel. 13; 46.66°, rel. 33; 48.10°, rel. 20; 69.26°, rel. 13; 80.59°, rel. 11

Structural model:
```
PRu2
1.0
5.893 0.000 0.000
0.000 3.893 0.000
0.000 0.000 7.019
P Ru
4 8
direct
0.250 0.250 0.110 P
0.250 0.750 0.610 P
0.750 0.250 0.390 P
0.750 0.750 0.890 P
0.014 0.250 0.847 Ru
0.139 0.250 0.422 Ru
0.361 0.750 0.922 Ru
0.486 0.750 0.347 Ru
0.514 0.250 0.653 Ru
0.639 0.250 0.078 Ru
0.861 0.750 0.578 Ru
0.986 0.750 0.153 Ru
```